Computed XRD peak list
Compound: Pm6Er
Radiation: Cu Kα X-rays
Structure: the PBE geometry in Alexandria
Lines closer than 0.1° are merged.

Crystal structure
```
data_Pm6Er
_symmetry_space_group_name_H-M 'P 4/n b m'
_symmetry_Int_Tables_number 125
_cell_length_a 6.5736
_cell_length_b 6.5736
_cell_length_c 11.2773
_cell_angle_alpha 90.00
_cell_angle_beta 90.00
_cell_angle_gamma 90.00
loop_
_symmetry_equiv_pos_as_xyz
'x,y,z'
'-x,-y,-z'
'-y+1/2,x,z'
'y+1/2,-x,-z'
'-x+1/2,-y+1/2,z'
'x+1/2,y+1/2,-z'
'y,-x+1/2,z'
'-y,x+1/2,-z'
'x,-y+1/2,-z'
'-x,y+1/2,z'
'-y+1/2,-x+1/2,-z'
'y+1/2,x+1/2,z'
'-x+1/2,y,-z'
'x+1/2,-y,z'
'y,x,-z'
'-y,-x,z'
loop_
_atom_site_label
_atom_site_fract_x
_atom_site_fract_y
_atom_site_fract_z
Pm1 0.0819 0.5819 0.1394
Pm2 0.2500 0.2500 0.3632
Er1 0.2500 0.7500 0.5000
```

Principal peaks in the range 10° ≤ 2θ ≤ 80°, in order of rising 2θ:
index  Position (°2θ)  intensity
0 0 3  23.7  24
2 0 1  28.3  100
1 1 3  30.6  78
2 1 1  31.5  64
0 0 4  31.7  27
2 1 2  34.4  73
2 2 0  38.7  27
2 1 5  51.0  22
3 1 4  54.9  53
3 3 3  65.1  27